The following is a simulated powder diffractogram of V3Fe2O8. It was derived from a DFT-relaxed cell (PBE+U, Alexandria), using Cu Kα (λ = 1.5418 Å).

Largest 6 diffraction maxima, low angle first, 10° ≤ 2θ ≤ 90°:
25.62 deg, intensity 87, hkl 1 0 2
33.44 deg, intensity 81, hkl 1 0 3
35.63 deg, intensity 100, hkl 1 1 2
36.03 deg, intensity 72, hkl 2 0 1
60.93 deg, intensity 69, hkl 2 0 5
62.20 deg, intensity 60, hkl 2 2 0

Cell and atoms:
```
V3Fe2O8
1.0
5.9697 0.0000 0.0000
-2.9848 5.1699 0.0000
0.0000 0.0000 9.3999
V Fe O
6 4 16
Cartesian
0.0000 1.6545 0.0000
-1.5520 4.3426 0.0000
1.4329 0.8273 4.7000
1.5520 4.3426 0.0000
4.5368 0.8273 4.7000
2.9848 3.5154 4.7000
0.0000 3.4466 2.9837
0.0000 3.4466 6.6887
2.9849 1.7233 1.9887
2.9849 1.7233 7.6836
0.0000 0.0000 3.6223
0.0000 0.0000 8.3223
-1.3536 2.6651 8.1460
0.0000 1.7576 5.6497
-1.4627 4.2911 5.6497
0.0000 3.4466 1.0610
1.5221 0.8788 0.9498
1.3536 2.6651 8.1460
0.0000 5.0096 8.1460
2.9848 0.1603 3.4460
1.6312 2.5048 3.4460
1.4627 4.2911 5.6497
2.9849 1.7233 5.7610
4.4476 0.8788 0.9498
2.9849 3.4123 0.9498
4.3385 2.5048 3.4460
```